[1]
# Ho7AlTe2
Computed PXRD pattern, CuKα. Input: a cell relaxed with GGA-PBE.
Intensities are scaled so that the largest is 100.

Structural model:
Cell: 8.587 8.587 5.333 Å, 90.00 90.00 118.26°
Sites, in units of the cell vectors:
Ho (0.000, 0.000, 0.000)
Ho (0.202, 0.435, 0.000)
Ho (0.278, 0.722, 0.500)
Ho (0.435, 0.202, 0.000)
Ho (0.565, 0.798, 0.000)
Ho (0.722, 0.278, 0.500)
Ho (0.798, 0.565, 0.000)
Al (0.500, 0.500, 0.500)
Te (0.200, 0.800, 0.000)
Te (0.800, 0.200, 0.000)

Peak list (10 most intense, 10° ≤ 2θ ≤ 90°, sorted by position)
d [Å]	I/Imax
5.333	100
3.032	45
2.881	34
2.827	72
2.666	71
2.534	77
2.476	99
2.280	32
1.940	50
1.455	30



[2]
# Ca2In6GaAg
Computed PXRD pattern, CuKα. Input: a cell relaxed with GGA-PBE.
Intensities are scaled so that the largest is 100.

Structural model:
Cell: 12.788 12.788 12.788 Å, 33.53 33.53 33.53°
Sites, in units of the cell vectors:
Ca (0.105, 0.105, 0.105)
Ca (0.284, 0.284, 0.284)
Ca (0.716, 0.716, 0.716)
Ca (0.895, 0.895, 0.895)
In (0.068, 0.664, 0.664)
In (0.226, 0.226, 0.650)
In (0.226, 0.650, 0.226)
In (0.336, 0.336, 0.932)
In (0.336, 0.932, 0.336)
In (0.350, 0.774, 0.774)
In (0.650, 0.226, 0.226)
In (0.664, 0.068, 0.664)
In (0.664, 0.664, 0.068)
In (0.774, 0.350, 0.774)
In (0.774, 0.774, 0.350)
In (0.932, 0.336, 0.336)
Ga (0.427, 0.427, 0.427)
Ga (0.573, 0.573, 0.573)
Ag (0.000, 0.000, 0.000)
Ag (0.500, 0.500, 0.500)

Peak list (10 most intense, 10° ≤ 2θ ≤ 90°, sorted by position)
d [Å]	I/Imax
6.027	38
4.789	54
3.014	28
2.923	87
2.717	98
2.394	100
2.334	50
2.009	30
1.882	28
1.845	50



[3]
# Na4FeH6
Computed PXRD pattern, CuKα. Input: a cell relaxed with GGA-PBE.
Intensities are scaled so that the largest is 100.

Structural model:
Cell: 6.423 6.423 6.638 Å, 90.00 90.00 90.00°
Sites, in units of the cell vectors:
Na (0.194, 0.306, 0.250)
Na (0.194, 0.306, 0.750)
Na (0.306, 0.806, 0.250)
Na (0.306, 0.806, 0.750)
Na (0.694, 0.194, 0.250)
Na (0.694, 0.194, 0.750)
Na (0.806, 0.694, 0.250)
Na (0.806, 0.694, 0.750)
Fe (0.000, 0.000, 0.000)
Fe (0.500, 0.500, 0.500)
H (0.000, 0.000, 0.246)
H (0.000, 0.000, 0.754)
H (0.055, 0.750, 0.000)
H (0.250, 0.055, 0.000)
H (0.250, 0.555, 0.500)
H (0.445, 0.250, 0.500)
H (0.500, 0.500, 0.254)
H (0.500, 0.500, 0.746)
H (0.555, 0.750, 0.500)
H (0.750, 0.445, 0.500)
H (0.750, 0.945, 0.000)
H (0.945, 0.250, 0.000)

Peak list (10 most intense, 10° ≤ 2θ ≤ 90°, sorted by position)
d [Å]	I/Imax
4.616	100
4.541	32
2.872	24
2.680	28
2.636	37
2.308	66
2.271	24
2.172	24
2.031	21
1.558	11



[4]
# KLiCo
Computed PXRD pattern, CuKα. Input: a cell relaxed with GGA-PBE.
Intensities are scaled so that the largest is 100.

Structural model:
Cell: 3.987 3.992 12.521 Å, 90.42 90.28 119.95°
Sites, in units of the cell vectors:
K (0.000, 0.000, 0.000)
K (0.307, 0.653, 0.333)
Li (0.661, 0.326, 0.745)
Li (0.989, 0.988, 0.642)
Co (0.320, 0.651, 0.577)
Co (0.652, 0.317, 0.548)

Peak list (10 most intense, 10° ≤ 2θ ≤ 90°, sorted by position)
d [Å]	I/Imax
6.260	100
4.173	40
3.340	40
3.327	79
3.130	32
2.678	15
2.648	17
2.504	17
2.333	15
1.995	50



[5]
# Na5B7C3
Computed PXRD pattern, CuKα. Input: a cell relaxed with GGA-PBE.
Intensities are scaled so that the largest is 100.

Structural model:
Cell: 8.579 12.932 12.932 Å, 12.55 90.00 90.00°
Sites, in units of the cell vectors:
Na (0.247, 0.000, 0.000)
Na (0.247, 0.199, 0.199)
Na (0.247, 0.799, 0.799)
Na (0.249, 0.600, 0.600)
Na (0.250, 0.399, 0.399)
Na (0.750, 0.399, 0.399)
Na (0.751, 0.600, 0.600)
Na (0.753, 0.000, 0.000)
Na (0.753, 0.199, 0.199)
Na (0.753, 0.799, 0.799)
B (0.000, 0.070, 0.070)
B (0.000, 0.273, 0.273)
B (0.000, 0.460, 0.460)
B (0.000, 0.530, 0.530)
B (0.000, 0.664, 0.664)
B (0.000, 0.733, 0.733)
B (0.000, 0.866, 0.866)
B (0.500, 0.136, 0.136)
B (0.500, 0.321, 0.321)
B (0.500, 0.473, 0.473)
B (0.500, 0.541, 0.541)
B (0.500, 0.729, 0.729)
B (0.500, 0.865, 0.865)
B (0.500, 0.930, 0.930)
C (0.000, 0.132, 0.132)
C (0.000, 0.335, 0.335)
C (0.000, 0.930, 0.930)
C (0.500, 0.072, 0.072)
C (0.500, 0.261, 0.261)
C (0.500, 0.667, 0.667)

Peak list (10 most intense, 10° ≤ 2θ ≤ 90°, sorted by position)
d [Å]	I/Imax
2.571	8
2.477	12
2.205	36
2.145	100
1.621	7
1.466	12
1.238	11
1.210	12
1.190	7
1.180	6



[6]
# Sm12HoEr7
Computed PXRD pattern, CuKα. Input: a cell relaxed with GGA-PBE.
Intensities are scaled so that the largest is 100.

Structural model:
Cell: 8.761 8.761 8.761 Å, 94.38 94.38 94.38°
Sites, in units of the cell vectors:
Sm (0.145, 0.410, 0.475)
Sm (0.185, 0.751, 0.318)
Sm (0.249, 0.682, 0.815)
Sm (0.318, 0.185, 0.751)
Sm (0.410, 0.475, 0.145)
Sm (0.475, 0.145, 0.410)
Sm (0.525, 0.855, 0.590)
Sm (0.590, 0.525, 0.855)
Sm (0.682, 0.815, 0.249)
Sm (0.751, 0.318, 0.185)
Sm (0.815, 0.249, 0.682)
Sm (0.855, 0.590, 0.525)
Ho (0.000, 0.000, 0.000)
Er (0.016, 0.081, 0.347)
Er (0.081, 0.347, 0.016)
Er (0.347, 0.016, 0.081)
Er (0.500, 0.500, 0.500)
Er (0.653, 0.984, 0.919)
Er (0.919, 0.653, 0.984)
Er (0.984, 0.919, 0.653)

Peak list (10 most intense, 10° ≤ 2θ ≤ 90°, sorted by position)
d [Å]	I/Imax
3.332	19
3.015	60
2.958	41
2.824	100
2.327	20
2.313	17
2.154	18
1.783	15
1.665	24
1.576	13



[7]
# TaRu2Pb
Computed PXRD pattern, CuKα. Input: a cell relaxed with GGA-PBE.
Intensities are scaled so that the largest is 100.

Structural model:
Cell: 4.644 4.644 3.180 Å, 90.00 90.00 96.67°
Sites, in units of the cell vectors:
Ta (0.000, 0.000, 0.000)
Ru (0.000, 0.500, 0.500)
Ru (0.500, 0.000, 0.500)
Pb (0.500, 0.500, 0.000)

Peak list (10 most intense, 10° ≤ 2θ ≤ 90°, sorted by position)
d [Å]	I/Imax
3.469	12
2.344	100
2.306	95
2.215	85
1.735	20
1.590	15
1.544	14
1.366	36
1.309	32
1.289	30



[8]
# Ni8Ge6Ir
Computed PXRD pattern, CuKα. Input: a cell relaxed with GGA-PBE.
Intensities are scaled so that the largest is 100.

Structural model:
Cell: 6.380 6.380 6.380 Å, 65.70 65.70 65.70°
Sites, in units of the cell vectors:
Ni (0.073, 0.808, 0.339)
Ni (0.189, 0.189, 0.189)
Ni (0.192, 0.661, 0.927)
Ni (0.339, 0.073, 0.808)
Ni (0.661, 0.927, 0.192)
Ni (0.808, 0.339, 0.073)
Ni (0.811, 0.811, 0.811)
Ni (0.927, 0.192, 0.661)
Ge (0.077, 0.467, 0.694)
Ge (0.306, 0.923, 0.533)
Ge (0.467, 0.694, 0.077)
Ge (0.533, 0.306, 0.923)
Ge (0.694, 0.077, 0.467)
Ge (0.923, 0.533, 0.306)
Ir (0.500, 0.500, 0.500)

Peak list (10 most intense, 10° ≤ 2θ ≤ 90°, sorted by position)
d [Å]	I/Imax
5.562	21
3.167	19
2.841	88
2.487	23
2.240	35
2.168	34
2.019	100
1.998	88
1.936	43
1.420	20